Record 1
Computed X-ray diffraction stick pattern of Pb2CO3F2 for Cu Kα, 1.54184 Å, from a DFT-relaxed cell (GGA-PBE, Alexandria).
Peak positions follow from Bragg's law for the DFT cell and can differ from measured ones.

Top 10 peaks for 2θ = 10–80°, sorted by position:
hkl, d [Å], 2θ (°), I (rel.)
2 0 0, 4.086, 21.8, 29
0 2 1, 3.602, 24.7, 17
0 0 2, 3.521, 25.3, 23
1 2 1, 3.296, 27.1, 100
2 1 1, 3.257, 27.4, 56
1 0 2, 3.234, 27.6, 33
2 0 2, 2.667, 33.6, 18
0 2 3, 2.048, 44.2, 21
3 3 0, 1.951, 46.6, 46
4 1 1, 1.911, 47.6, 28

Cell and atoms:
```
data_Pb2CO3F2
_symmetry_space_group_name_H-M 'P b c n'
_symmetry_Int_Tables_number 60
_cell_length_a 8.172
_cell_length_b 8.385
_cell_length_c 7.042
_cell_angle_alpha 90.00
_cell_angle_beta 90.00
_cell_angle_gamma 90.00
loop_
_symmetry_equiv_pos_as_xyz
'x,y,z'
'-x,-y,-z'
'-x+1/2,-y+1/2,z+1/2'
'x+1/2,y+1/2,-z+1/2'
'x+1/2,-y+1/2,-z'
'-x+1/2,y+1/2,z'
'-x,y,-z+1/2'
'x,-y,z+1/2'
loop_
_atom_site_label
_atom_site_fract_x
_atom_site_fract_y
_atom_site_fract_z
_atom_site_occupancy
Pb1 0.184 0.159 0.058 1
C1 0.000 0.480 0.750 1
O1 0.000 0.325 0.750 1
O2 0.130 0.443 0.195 1
F1 0.113 0.114 0.399 1
```

---

Record 2
Computed X-ray diffraction stick pattern of Pm4Ho10Th for Cu Kα, 1.54184 Å, from a DFT-relaxed cell (GGA-PBE, Alexandria).
Peak positions follow from Bragg's law for the DFT cell and can differ from measured ones.

Top 10 peaks for 2θ = 10–80°, sorted by position:
hkl, d [Å], 2θ (°), I (rel.)
2 0 2, 3.269, 27.3, 43
3 2 1, 2.897, 30.9, 67
2 2 2, 2.823, 31.7, 97
4 0 0, 2.798, 32.0, 100
3 1 2, 2.659, 33.7, 51
1 0 3, 2.611, 34.3, 38
3 3 2, 2.207, 40.9, 56
5 0 3, 1.719, 53.3, 33
3 2 5, 1.430, 65.2, 30
7 3 2, 1.381, 67.9, 34

Cell and atoms:
```
data_Pm4Ho10Th
_symmetry_space_group_name_H-M 'I 4/m m m'
_symmetry_Int_Tables_number 139
_symmetry_space_group_name_Hall '-I 4 2'
_cell_length_a 11.193
_cell_length_b 11.193
_cell_length_c 8.056
_cell_angle_alpha 90.00
_cell_angle_beta 90.00
_cell_angle_gamma 90.00
loop_
_atom_site_label
_atom_site_fract_x
_atom_site_fract_y
_atom_site_fract_z
_atom_site_occupancy
Pm1 0.225 0.225 0.000 1
Ho1 0.000 0.207 0.296 1
Ho2 0.000 0.500 0.250 1
Th1 0.000 0.000 0.000 1
```

---

Record 3
Computed X-ray diffraction stick pattern of Zn5Te for Cu Kα, 1.54184 Å, from a DFT-relaxed cell (GGA-PBE, Alexandria).
Peak positions follow from Bragg's law for the DFT cell and can differ from measured ones.

Top 10 peaks for 2θ = 10–80°, sorted by position:
hkl, d [Å], 2θ (°), I (rel.)
0 0 4, 3.182, 28.0, 9
1 0 2, 2.698, 33.2, 21
0 0 5, 2.545, 35.3, 8
1 0 3, 2.438, 36.9, 100
1 0 4, 2.175, 41.5, 16
1 1 0, 2.107, 42.9, 48
1 0 6, 1.728, 53.0, 8
1 1 5, 1.623, 56.7, 8
2 0 0, 1.490, 62.3, 15
2 1 3, 1.271, 74.7, 23

Cell and atoms:
```
data_Zn5Te
_symmetry_space_group_name_H-M 'P 4/m m m'
_symmetry_Int_Tables_number 123
_symmetry_space_group_name_Hall '-P 4 2'
_cell_length_a 2.979
_cell_length_b 2.979
_cell_length_c 12.727
_cell_angle_alpha 90.00
_cell_angle_beta 90.00
_cell_angle_gamma 90.00
loop_
_atom_site_label
_atom_site_fract_x
_atom_site_fract_y
_atom_site_fract_z
_atom_site_occupancy
Zn1 0.000 0.000 0.000 1
Zn2 0.000 0.000 0.279 1
Zn3 0.500 0.500 0.140 1
Te1 0.500 0.500 0.500 1
```